Calculated powder X-ray diffraction pattern of HoSiO3 for Cu Kα (λ = 1.5418 Å), from the PBE geometry in the Materials Project.
Intensities are scaled so that the largest is 100.

Peak list (6 most intense, 5 to 70 degrees two-theta, in order of rising 2θ)
| (hkl) | 2theta | Rel. int. |
| --- | --- | --- |
| 1 0 0 | 23.99 | 53 |
| 1 1 0 | 34.18 | 100 |
| 1 1 1 | 42.19 | 40 |
| 2 0 0 | 49.12 | 33 |
| 2 1 0 | 55.38 | 25 |
| 2 1 1 | 61.20 | 39 |

Structural model:
```
5
Lattice="3.7096 0.0000 0.0000 0.0000 3.7096 0.0000 0.0000 0.0000 3.7096" Properties=species:S:1:pos:R:3 pbc="T T T"
Ho 0.0000 0.0000 0.0000
Si 1.8548 1.8548 1.8548
O 0.0000 1.8548 1.8548
O 1.8548 0.0000 1.8548
O 1.8548 1.8548 0.0000
```